Diffraction record for LaTa2CuBrO7. The powder diffraction line list is simulated, not measured: it uses a crystal structure in the Materials Project, relaxed with PBE and λ = 1.5418 Å (Cu Kα).
Peak positions follow from Bragg's law for the DFT cell and can differ from measured ones.

Most intense lines, 5 to 70 degrees two-theta, by intensity:
32.22 deg, I = 100.0, hkl 1 1 0
27.28 deg, I = 72.9, hkl 1 0 2
7.50 deg, I = 45.3, hkl 0 0 1
22.63 deg, I = 44.8, hkl 0 0 3
46.20 deg, I = 38.9, hkl 2 0 0
57.44 deg, I = 31.1, hkl 1 1 6

Structural model:
Lattice parameters (Å, degrees): 3.9295 3.9295 11.7900 90.00 90.00 90.00
Space group P4/mmm (No. 123)
Inequivalent atoms, fractional coordinates:
La  0.0000  0.0000  0.0000 x1
Ta  0.5000  0.5000  0.1910 x2
Cu  0.5000  0.5000  0.5000 x1
Br  0.0000  0.0000  0.5000 x1
O  0.0000  0.5000  0.1555 x4
O  0.5000  0.5000  0.0000 x1
O  0.5000  0.5000  0.3437 x2